# HfMnRh2
Simulated powder X-ray diffraction pattern, Cu Kα (weighted mean of Kα1 and Kα2). Input: DFT lattice parameters and positions (GGA-PBE).
Intensities are scaled so that the largest is 100.

Atomic structure:
Cell: 6.337 6.337 6.337 Å, 90.00 90.00 90.00°
Space group Fm-3m (No. 225)
Asymmetric unit:
Hf: 0.000 0.000 0.000 x4
Mn: 0.000 0.000 0.500 x4
Rh: 0.250 0.250 0.250 x8

Most intense lines, 2θ from 10° to 90°, by angle:
24.3 deg, intensity 18, (1 1 1)
40.3 deg, intensity 100, (2 2 0)
47.6 deg, intensity 9, (3 1 1)
58.2 deg, intensity 17, (4 0 0)
64.1 deg, intensity 4, (3 3 1)
73.2 deg, intensity 33, (4 2 2)
78.4 deg, intensity 3, (5 1 1)
87.0 deg, intensity 11, (4 4 0)